Structure and theoretical powder X-ray diffraction pattern of AcPrTlI (the GGA-PBE geometry in Alexandria; Cu Kα).
Peak positions follow from Bragg's law for the DFT cell and can differ from measured ones.

Cell and atoms:
```
12
Lattice="4.7665 0.0000 0.0000 -2.3833 4.1280 0.0000 0.0000 0.0000 22.8021" Properties=species:S:1:pos:R:3 pbc="T T T"
Ac 0.0000 0.0000 0.0000
Ac 0.0000 2.7520 15.2014
Ac 2.3833 1.3760 7.6007
Pr 0.0000 0.0000 11.0310
Pr 0.0000 2.7520 3.4303
Pr 2.3833 1.3760 18.6317
Tl 0.0000 0.0000 17.0263
Tl 0.0000 2.7520 9.4256
Tl 2.3833 1.3760 1.8248
I 0.0000 0.0000 5.4193
I 0.0000 2.7520 20.6208
I 2.3833 1.3760 13.0200
```

Principal peaks in the range 10° ≤ 2θ ≤ 90°, by angle:
hkl 0 0 3, 11.6 deg, I 84; hkl 1 0 4, 26.7 deg, I 1000; hkl 1 1 0, 37.7 deg, I 414; hkl 0 1 8, 38.4 deg, I 355; hkl 0 2 4, 46.8 deg, I 220; hkl 2 0 8, 54.9 deg, I 127; hkl 2 1 4, 61.6 deg, I 195; hkl 1 1 12, 62.5 deg, I 150; hkl 1 2 8, 68.6 deg, I 131; hkl 1 3 4, 86.8 deg, I 78